Diffraction record for K3W2O4F6. The XRD peak list is computed, not measured: it uses a DFT-relaxed cell (GGA+U, the Materials Project) and a wavelength of 1.5418 Å.

Peak list (8 most intense, 15° ≤ 2θ ≤ 90°, by angle)
d = 5.271 Å, I 100; d = 4.772 Å, I 65; d = 4.735 Å, I 35; d = 3.960 Å, I 77; d = 2.733 Å, I 34; d = 2.687 Å, I 33; d = 2.657 Å, I 31; d = 2.098 Å, I 32

Structure:
Unit cell a=8.4248 b=8.4248 c=8.6494 alpha=108.55 beta=108.55 gamma=90.84
Fractional positions:
K 0.0000 0.0000 0.0000
K 0.0000 0.0000 0.5000
K 0.2417 0.4524 0.5009
K 0.4524 0.2417 0.0009
K 0.5476 0.7583 0.9991
K 0.7583 0.5476 0.4991
W 0.0693 0.4777 0.8668
W 0.4777 0.0693 0.3668
W 0.5223 0.9307 0.6332
W 0.9307 0.5223 0.1332
O 0.0460 0.6665 0.8178
O 0.1568 0.5646 0.1228
O 0.3335 0.9540 0.6822
O 0.4354 0.8432 0.3772
O 0.5646 0.1568 0.6228
O 0.6665 0.0460 0.3178
O 0.8432 0.4354 0.8772
O 0.9540 0.3335 0.1822
F 0.0023 0.6577 0.3899
F 0.1130 0.2391 0.8745
F 0.2391 0.1130 0.3745
F 0.3061 0.4734 0.8538
F 0.3423 0.9977 0.1101
F 0.4734 0.3061 0.3538
F 0.5266 0.6939 0.6462
F 0.6577 0.0023 0.8899
F 0.6939 0.5266 0.1462
F 0.7609 0.8870 0.6255
F 0.8870 0.7609 0.1255
F 0.9977 0.3423 0.6101



Diffraction record for K2TlVF6. The XRD peak list is computed, not measured: it uses a DFT-relaxed cell (GGA+U, the Materials Project) and a wavelength of 1.5418 Å.

Peak list (8 most intense, 15° ≤ 2θ ≤ 90°, by angle)
d = 5.295 Å, I 32; d = 4.586 Å, I 58; d = 3.243 Å, I 100; d = 2.765 Å, I 35; d = 2.293 Å, I 40; d = 2.104 Å, I 24; d = 2.051 Å, I 24; d = 1.872 Å, I 37

Structure:
Unit cell a=6.4854 b=6.4854 c=6.4854 alpha=60.00 beta=60.00 gamma=60.00
Fractional positions:
K 0.2500 0.2500 0.2500
K 0.7500 0.7500 0.7500
Tl 0.0000 0.0000 0.0000
V 0.5000 0.5000 0.5000
F 0.2865 0.2865 0.7135
F 0.2865 0.7135 0.2865
F 0.2865 0.7135 0.7135
F 0.7135 0.2865 0.2865
F 0.7135 0.2865 0.7135
F 0.7135 0.7135 0.2865



Diffraction record for K5V3F14. The XRD peak list is computed, not measured: it uses a DFT-relaxed cell (GGA+U, the Materials Project) and a wavelength of 1.5418 Å.

Peak list (8 most intense, 15° ≤ 2θ ≤ 90°, by angle)
d = 3.260 Å, I 100; d = 2.752 Å, I 18; d = 2.265 Å, I 14; d = 2.023 Å, I 27; d = 1.946 Å, I 16; d = 1.771 Å, I 19; d = 1.671 Å, I 23; d = 1.310 Å, I 16

Structure:
Unit cell a=7.7849 b=7.7849 c=11.9309 alpha=90.00 beta=90.00 gamma=90.00
Fractional positions:
K 0.0000 0.0000 0.0000
K 0.2173 0.2827 0.2500
K 0.2173 0.2827 0.7500
K 0.2827 0.7827 0.2500
K 0.2827 0.7827 0.7500
K 0.5000 0.5000 0.5000
K 0.7173 0.2173 0.2500
K 0.7173 0.2173 0.7500
K 0.7827 0.7173 0.2500
K 0.7827 0.7173 0.7500
V 0.0000 0.0000 0.5000
V 0.0000 0.5000 0.0000
V 0.0000 0.5000 0.5000
V 0.5000 0.0000 0.0000
V 0.5000 0.0000 0.5000
V 0.5000 0.5000 0.0000
F 0.0000 0.0000 0.3357
F 0.0000 0.0000 0.6643
F 0.0415 0.6746 0.1142
F 0.0415 0.6746 0.8858
F 0.0731 0.2470 0.5000
F 0.1746 0.5415 0.3858
F 0.1746 0.5415 0.6142
F 0.2470 0.9269 0.5000
F 0.2530 0.4269 0.0000
F 0.3254 0.0415 0.1142
F 0.3254 0.0415 0.8858
F 0.4269 0.7470 0.0000
F 0.4585 0.1746 0.3858
F 0.4585 0.1746 0.6142
F 0.5000 0.5000 0.1643
F 0.5000 0.5000 0.8357
F 0.5415 0.8254 0.3858
F 0.5415 0.8254 0.6142
F 0.5731 0.2530 0.0000
F 0.6746 0.9585 0.1142
F 0.6746 0.9585 0.8858
F 0.7470 0.5731 0.0000
F 0.7530 0.0731 0.5000
F 0.8254 0.4585 0.3858
F 0.8254 0.4585 0.6142
F 0.9269 0.7530 0.5000
F 0.9585 0.3254 0.1142
F 0.9585 0.3254 0.8858